Starting from a crystal structure in Alexandria, relaxed with GGA-PBE, the powder diffraction line list of Y3TmTh4Se8 was simulated for copper Kα.
Lines closer than 0.1° are merged.

Main lines, sorted by position (2θ from 15° to 90°):
| d [Å] | I (rel.) |
| --- | --- |
| 3.445 | 86 |
| 3.317 | 171 |
| 2.921 | 1000 |
| 2.120 | 396 |
| 2.015 | 349 |
| 1.659 | 189 |
| 1.460 | 121 |
| 1.334 | 173 |
| 1.281 | 160 |
| 1.182 | 134 |

Structural model:
Lattice parameters (Å, degrees): 8.5016 8.5016 8.5016 56.60 56.60 56.60
Fractional positions:
Y 0.0000 0.5000 0.5000
Y 0.5000 0.0000 0.5000
Y 0.5000 0.5000 0.0000
Tm 0.0000 0.0000 0.0000
Th 0.0000 0.0000 0.5000
Th 0.0000 0.5000 0.0000
Th 0.5000 0.0000 0.0000
Th 0.5000 0.5000 0.5000
Se 0.2427 0.2427 0.7472
Se 0.2427 0.7472 0.2427
Se 0.2528 0.7573 0.7573
Se 0.2552 0.2552 0.2552
Se 0.7448 0.7448 0.7448
Se 0.7472 0.2427 0.2427
Se 0.7573 0.2528 0.7573
Se 0.7573 0.7573 0.2528


Starting from a crystal structure in Alexandria, relaxed with GGA-PBE, the powder diffraction line list of Y3ThSe4 was simulated for copper Kα.
Lines closer than 0.1° are merged.

Main lines, sorted by position (2θ from 15° to 90°):
| d [Å] | I (rel.) |
| --- | --- |
| 3.279 | 243 |
| 2.968 | 1000 |
| 2.799 | 776 |
| 2.184 | 233 |
| 2.056 | 389 |
| 2.023 | 615 |
| 1.671 | 184 |
| 1.639 | 176 |
| 1.322 | 279 |
| 1.288 | 155 |

Structural model:
Lattice parameters (Å, degrees): 4.0451 4.0451 27.9342 90.00 90.00 120.00
Fractional positions:
Y 0.0000 0.0000 0.0000
Y 0.0000 0.0000 0.5000
Y 0.3333 0.6667 0.1220
Y 0.3333 0.6667 0.3780
Y 0.6667 0.3333 0.6220
Y 0.6667 0.3333 0.8780
Th 0.3333 0.6667 0.7500
Th 0.6667 0.3333 0.2500
Se 0.0000 0.0000 0.1820
Se 0.0000 0.0000 0.3180
Se 0.0000 0.0000 0.6820
Se 0.0000 0.0000 0.8180
Se 0.3333 0.6667 0.5607
Se 0.3333 0.6667 0.9393
Se 0.6667 0.3333 0.0607
Se 0.6667 0.3333 0.4393


Starting from a crystal structure in Alexandria, relaxed with GGA-PBE, the powder diffraction line list of YThSe2 was simulated for copper Kα.
Lines closer than 0.1° are merged.

Main lines, sorted by position (2θ from 15° to 90°):
| d [Å] | I (rel.) |
| --- | --- |
| 3.450 | 124 |
| 3.323 | 146 |
| 2.927 | 1000 |
| 2.125 | 398 |
| 2.018 | 348 |
| 1.662 | 187 |
| 1.463 | 121 |
| 1.337 | 174 |
| 1.283 | 159 |
| 1.185 | 136 |

Structural model:
Lattice parameters (Å, degrees): 7.5075 7.5075 7.5075 31.19 31.19 31.19
Fractional positions:
Y 0.0000 0.0000 0.0000
Th 0.5000 0.5000 0.5000
Se 0.2551 0.2551 0.2551
Se 0.7449 0.7449 0.7449


Starting from a crystal structure in Alexandria, relaxed with GGA-PBE, the powder diffraction line list of YTh4Se5 was simulated for copper Kα.
Lines closer than 0.1° are merged.

Main lines, sorted by position (2θ from 15° to 90°):
| d [Å] | I (rel.) |
| --- | --- |
| 3.416 | 354 |
| 2.958 | 1000 |
| 2.092 | 755 |
| 1.784 | 182 |
| 1.708 | 269 |
| 1.479 | 123 |
| 1.357 | 75 |
| 1.323 | 338 |
| 1.208 | 254 |
| 1.139 | 63 |

Structural model:
Lattice parameters (Å, degrees): 7.2472 7.2472 7.2472 99.58 99.58 131.84
Fractional positions:
Y 0.0000 0.0000 0.0000
Th 0.1942 0.5957 0.7899
Th 0.4043 0.1942 0.5984
Th 0.5957 0.8058 0.4016
Th 0.8058 0.4043 0.2101
Se 0.1017 0.2895 0.3913
Se 0.2895 0.8982 0.1878
Se 0.5000 0.5000 0.0000
Se 0.7105 0.1017 0.8122
Se 0.8982 0.7105 0.6087


Please write out number 4 again, unchanged.
Starting from a crystal structure in Alexandria, relaxed with GGA-PBE, the powder diffraction line list of YTh4Se5 was simulated for copper Kα.
Lines closer than 0.1° are merged.

Main lines, sorted by position (2θ from 15° to 90°):
| d [Å] | I (rel.) |
| --- | --- |
| 3.416 | 354 |
| 2.958 | 1000 |
| 2.092 | 755 |
| 1.784 | 182 |
| 1.708 | 269 |
| 1.479 | 123 |
| 1.357 | 75 |
| 1.323 | 338 |
| 1.208 | 254 |
| 1.139 | 63 |

Structural model:
Lattice parameters (Å, degrees): 7.2472 7.2472 7.2472 99.58 99.58 131.84
Fractional positions:
Y 0.0000 0.0000 0.0000
Th 0.1942 0.5957 0.7899
Th 0.4043 0.1942 0.5984
Th 0.5957 0.8058 0.4016
Th 0.8058 0.4043 0.2101
Se 0.1017 0.2895 0.3913
Se 0.2895 0.8982 0.1878
Se 0.5000 0.5000 0.0000
Se 0.7105 0.1017 0.8122
Se 0.8982 0.7105 0.6087